For Dy2Mg2Ag3Au, the GGA-PBE geometry in OQMD gives the calculated powder X-ray diffraction pattern in this record (a wavelength of 1.5418 Å).

Cell and atoms:
```
Dy2Mg2Ag3Au
1.0
4.9156 0.0000 0.0000
0.0000 4.9157 0.0000
-0.0007 0.0000 6.9355
Dy Mg Ag Au
2 2 3 1
direct
0.0000 0.0000 0.0000 Dy
0.4919 0.5000 0.5095 Dy
0.4939 0.5000 0.0034 Mg
0.9985 0.0000 0.5061 Mg
0.5012 0.0000 0.2547 Ag
0.5014 0.0000 0.7548 Ag
0.9910 0.5000 0.2548 Ag
0.9913 0.5000 0.7547 Au
```

Top 6 peaks for 2θ from 15° to 90°, low angle first:
(1 0 -1), d 4.010, rel. 23; (1 1 2), d 2.456, rel. 100; (2 1 1), d 2.094, rel. 12; (2 2 0), d 1.738, rel. 12; (1 3 2), d 1.418, rel. 35; (2 4 0), d 1.099, rel. 11